# AlNi2SnO6
Theoretical powder XRD pattern, Cu Kα. Input: a cell relaxed with PBE+U.
Kinematic intensities with the Lorentz-polarization factor, no thermal factor.

Peak list (8 most intense, 2θ from 10° to 90°, low angle first)
Position (°2θ), d [Å], Rel. int., hkl
15.83, 5.599, 37, 1 0 0
22.53, 3.947, 86, 0 0 1
27.66, 3.225, 21, 1 0 1
31.99, 2.797, 100, 2 0 0
45.84, 1.979, 46, 2 2 0
51.66, 1.769, 32, 2 2 1
51.77, 1.766, 40, 1 1 2
71.61, 1.318, 29, 3 1 2

Crystal structure
```
data_AlNi2SnO6
_cell_length_a 5.5988
_cell_length_b 5.5988
_cell_length_c 3.9457
_cell_angle_alpha 90.00
_cell_angle_beta 90.00
_cell_angle_gamma 90.00
_space_group_name_H-M_alt 'P 4 m m'
_space_group_IT_number 99
loop_
_space_group_symop_operation_xyz
'x,y,z'
'-y,x,z'
'-x,-y,z'
'y,-x,z'
'-x,y,z'
'y,x,z'
'x,-y,z'
'-y,-x,z'
loop_
_atom_site_label
_atom_site_fract_x
_atom_site_fract_y
_atom_site_fract_z
Al1 0.0000 0.0000 0.0000
Ni1 0.0000 0.5000 0.1902
Sn1 0.5000 0.5000 0.9827
O1 0.0000 0.0000 0.5247
O2 0.2372 0.2372 0.0544
O3 0.5000 0.5000 0.4942
```